Calculated powder diffractogram
Compound: TbSm7Tl2
Radiation: CuKα
Structure: a crystal structure in Alexandria, relaxed with GGA-PBE
Peak positions follow from Bragg's law for the DFT cell and can differ from measured ones.

Principal peaks in the range 10 to 80 degrees two-theta, in order of rising 2θ:
h k l	two_theta	intensity
0 0 1	16.5	55
2 0 0	19.0	31
1 1 1	19.9	30
0 4 1	27.9	40
2 4 0	29.5	57
0 0 2	33.4	67
3 1 1	33.8	69
1 5 1	34.1	100
2 4 2	45.2	41
5 5 1	60.0	41

Atomic structure:
```
data_TbSm7Tl2
_symmetry_space_group_name_H-M 'C m m m'
_symmetry_Int_Tables_number 65
_symmetry_space_group_name_Hall '-C 2 2'
_cell_length_a 9.320
_cell_length_b 15.947
_cell_length_c 5.364
_cell_angle_alpha 90.00
_cell_angle_beta 90.00
_cell_angle_gamma 90.00
loop_
_atom_site_label
_atom_site_fract_x
_atom_site_fract_y
_atom_site_fract_z
_atom_site_occupancy
Tb1 0.000 0.000 0.000 1
Sm1 0.000 0.224 0.000 1
Sm2 0.000 0.500 0.500 1
Sm3 0.182 0.119 0.500 1
Tl1 0.000 0.306 0.500 1
```